# LiSe3F
Computed X-ray diffraction stick pattern, copper Kα. Input: DFT lattice parameters and positions (GGA-PBE).
Kinematic intensities with the Lorentz-polarization factor, no thermal factor.

Largest 10 diffraction maxima, in order of rising 2θ, 10° ≤ 2θ ≤ 80°:
- 18.95 deg, d 4.684, intensity 55.8
- 26.92 deg, d 3.312, intensity 15.0
- 33.13 deg, d 2.704, intensity 100.0
- 38.44 deg, d 2.342, intensity 68.6
- 43.19 deg, d 2.095, intensity 24.6
- 47.55 deg, d 1.912, intensity 6.7
- 55.49 deg, d 1.656, intensity 45.5
- 59.18 deg, d 1.561, intensity 11.4
- 66.17 deg, d 1.412, intensity 40.6
- 69.52 deg, d 1.352, intensity 15.1

Structural model:
```
data_LiSe3F
_symmetry_space_group_name_H-M 'P m -3 m'
_symmetry_Int_Tables_number 221
_symmetry_space_group_name_Hall '-P 4 2 3'
_cell_length_a 4.684
_cell_length_b 4.684
_cell_length_c 4.684
_cell_angle_alpha 90.00
_cell_angle_beta 90.00
_cell_angle_gamma 90.00
loop_
_atom_site_label
_atom_site_type_symbol
_atom_site_fract_x
_atom_site_fract_y
_atom_site_fract_z
Li1 Li 0.000 0.000 0.000
Se1 Se 0.000 0.500 0.500
F1 F 0.500 0.500 0.500
```



# Li2SiF6
Computed X-ray diffraction stick pattern, copper Kα. Input: DFT lattice parameters and positions (GGA-PBE).
Kinematic intensities with the Lorentz-polarization factor, no thermal factor.

Largest 10 diffraction maxima, in order of rising 2θ, 10° ≤ 2θ ≤ 80°:
- 21.34 deg, d 4.164, intensity 77.2
- 22.85 deg, d 3.892, intensity 65.7
- 31.46 deg, d 2.843, intensity 16.8
- 38.97 deg, d 2.311, intensity 10.9
- 42.38 deg, d 2.133, intensity 100.0
- 55.12 deg, d 1.666, intensity 36.3
- 59.78 deg, d 1.547, intensity 9.1
- 62.32 deg, d 1.490, intensity 10.6
- 67.47 deg, d 1.388, intensity 18.4
- 70.16 deg, d 1.341, intensity 7.9

Structural model:
```
data_Li2SiF6
_symmetry_space_group_name_H-M 'P 3 2 1'
_symmetry_Int_Tables_number 150
_cell_length_a 8.3286
_cell_length_b 8.3286
_cell_length_c 4.6223
_cell_angle_alpha 90.00
_cell_angle_beta 90.00
_cell_angle_gamma 120.00
loop_
_symmetry_equiv_pos_as_xyz
'x,y,z'
'-y,x-y,z'
'-x+y,-x,z'
'y,x,-z'
'x-y,-y,-z'
'-x,-x+y,-z'
loop_
_atom_site_label
_atom_site_type_symbol
_atom_site_fract_x
_atom_site_fract_y
_atom_site_fract_z
Li1 Li 0.0000 0.2950 0.0000
Li2 Li 0.0000 0.6324 0.5000
Si1 Si 0.0000 0.0000 0.5000
Si2 Si 0.3333 0.6667 0.9844
F1 F 0.0933 0.8976 0.7104
F2 F 0.1384 0.5552 0.7726
F3 F 0.2264 0.7554 0.1964
```



# LiSiF4
Computed X-ray diffraction stick pattern, copper Kα. Input: DFT lattice parameters and positions (GGA-PBE).
Kinematic intensities with the Lorentz-polarization factor, no thermal factor.

Largest 10 diffraction maxima, in order of rising 2θ, 10° ≤ 2θ ≤ 80°:
- 20.52 deg, d 4.328, intensity 100.0
- 22.83 deg, d 3.895, intensity 12.2
- 34.46 deg, d 2.602, intensity 40.0
- 38.76 deg, d 2.324, intensity 19.2
- 41.74 deg, d 2.164, intensity 5.6
- 54.16 deg, d 1.694, intensity 15.0
- 62.20 deg, d 1.493, intensity 11.2
- 62.95 deg, d 1.476, intensity 7.0
- 64.61 deg, d 1.443, intensity 4.2
- 78.63 deg, d 1.217, intensity 5.3

Structural model:
```
data_LiSiF4
_symmetry_space_group_name_H-M 'I -4'
_symmetry_Int_Tables_number 82
_cell_length_a 5.508
_cell_length_b 5.508
_cell_length_c 6.996
_cell_angle_alpha 90.00
_cell_angle_beta 90.00
_cell_angle_gamma 90.00
loop_
_symmetry_equiv_pos_as_xyz
'x,y,z'
'y,-x,-z'
'-x,-y,z'
'-y,x,-z'
'x+1/2,y+1/2,z+1/2'
'y+1/2,-x+1/2,-z+1/2'
'-x+1/2,-y+1/2,z+1/2'
'-y+1/2,x+1/2,-z+1/2'
loop_
_atom_site_label
_atom_site_type_symbol
_atom_site_fract_x
_atom_site_fract_y
_atom_site_fract_z
Li1 Li 0.000 0.000 0.000
Si1 Si 0.000 0.500 0.750
F1 F 0.143 0.727 0.870
```



# LiSiF6
Computed X-ray diffraction stick pattern, copper Kα. Input: DFT lattice parameters and positions (GGA-PBE).
Kinematic intensities with the Lorentz-polarization factor, no thermal factor.

Largest 10 diffraction maxima, in order of rising 2θ, 10° ≤ 2θ ≤ 80°:
- 20.64 deg, d 4.303, intensity 54.9
- 23.88 deg, d 3.727, intensity 100.0
- 40.12 deg, d 2.247, intensity 5.5
- 41.99 deg, d 2.152, intensity 27.9
- 48.88 deg, d 1.863, intensity 42.5
- 55.10 deg, d 1.667, intensity 26.0
- 65.02 deg, d 1.434, intensity 10.6
- 71.62 deg, d 1.318, intensity 19.3
- 75.46 deg, d 1.260, intensity 5.9
- 76.72 deg, d 1.242, intensity 10.4

Structural model:
```
data_LiSiF6
_symmetry_space_group_name_H-M 'F m -3 m'
_symmetry_Int_Tables_number 225
_symmetry_space_group_name_Hall '-F 4 2 3'
_cell_length_a 7.453
_cell_length_b 7.453
_cell_length_c 7.453
_cell_angle_alpha 90.00
_cell_angle_beta 90.00
_cell_angle_gamma 90.00
loop_
_atom_site_label
_atom_site_type_symbol
_atom_site_fract_x
_atom_site_fract_y
_atom_site_fract_z
Li1 Li 0.000 0.000 0.000
Si1 Si 0.000 0.000 0.500
F1 F 0.000 0.000 0.272
```